# Na6TiMnSi6O18
Computed XRD peak list, CuKα. Input: a DFT-relaxed cell (GGA+U, Alexandria).
No peak broadening, texture or thermal motion is included.

Main lines, by angle (10 to 80 degrees two-theta):
d 7.341, 12.06 deg, intensity 25
d 4.201, 21.15 deg, intensity 30
d 3.671, 24.25 deg, intensity 44
d 3.319, 26.86 deg, intensity 52
d 3.248, 27.46 deg, intensity 87
d 2.631, 34.07 deg, intensity 100
d 2.561, 35.04 deg, intensity 80
d 1.835, 49.68 deg, intensity 62
d 1.769, 51.66 deg, intensity 24
d 1.492, 62.23 deg, intensity 23

```
data_Na6TiMnSi6O18
_symmetry_space_group_name_H-M 'R 3 m'
_symmetry_Int_Tables_number 160
_symmetry_space_group_name_Hall 'R 3 -2"'
_cell_length_a 10.2447
_cell_length_b 10.2447
_cell_length_c 13.0728
_cell_angle_alpha 90.00
_cell_angle_beta 90.00
_cell_angle_gamma 120.00
loop_
_atom_site_label
_atom_site_type_symbol
_atom_site_fract_x
_atom_site_fract_y
_atom_site_fract_z
Na1 Na 0.0555 0.5278 0.0000
Na2 Na 0.1773 0.3546 0.8473
Ti1 Ti 0.0000 0.0000 0.0255
Mn1 Mn 0.0000 0.0000 0.7690
Si1 Si 0.0285 0.5143 0.2544
Si2 Si 0.1815 0.3630 0.1132
O1 O 0.0740 0.4061 0.1855
O2 O 0.0892 0.1784 0.1085
O3 O 0.1077 0.2153 0.6954
O4 O 0.1771 0.0885 0.9233
O5 O 0.2219 0.1109 0.3397
```